For KCdIn2Au2, a crystal structure in Alexandria, relaxed with GGA-PBE gives the computed powder X-ray diffraction pattern in this record (Cu Ka).
Neutral-atom scattering factors, no anomalous dispersion.

Principal peaks in the range 5° ≤ 2θ ≤ 70°, sorted by position:
(0 0 1), 10.58°, intensity 100
(0 1 2), 30.47°, intensity 70
(1 1 0), 37.83°, intensity 75
(0 1 3), 39.02°, intensity 39
(1 1 1), 39.39°, intensity 28
(2 0 2), 49.32°, intensity 18
(1 1 3), 50.45°, intensity 23
(1 2 2), 63.79°, intensity 17

```
6
Lattice="4.7567 0.0000 0.0000 -2.3783 4.1194 0.0000 0.0000 0.0000 8.3602" Properties=species:S:1:pos:R:3 pbc="T T T"
K 0.0000 0.0000 0.0000
Cd 0.0000 0.0000 4.1801
In 0.0000 2.7463 2.4119
In 2.3783 1.3731 5.9483
Au 0.0000 2.7463 5.4723
Au 2.3783 1.3731 2.8878
```